The following is a calculated powder diffraction line list of ScMnBiPb2. It was derived from a GGA-PBE-relaxed structure, using a wavelength of 1.5418 Å.
Intensities are scaled so that the largest is 100.

Principal peaks in the range 10° ≤ 2θ ≤ 80°, in order of rising 2θ:
2θ (°)  I (rel.)
14.92  47
18.43  80
28.20  43
30.09  100
35.52  67
37.37  28
43.08  38
47.23  31
48.70  53
58.32  31

Crystal structure
```
ScMnBiPb2
1.0
5.939 0.000 0.000
0.000 5.939 0.000
0.000 0.000 4.813
Sc Mn Bi Pb
1 1 1 2
Direct
0.000 0.000 0.000 Sc
0.500 0.500 0.000 Mn
0.500 0.500 0.500 Bi
0.000 0.500 0.500 Pb
0.500 0.000 0.500 Pb
```

The following is a calculated powder diffraction line list of Mn5Bi4Pd2. It was derived from a GGA-PBE-relaxed structure, using a wavelength of 1.5418 Å.
Intensities are scaled so that the largest is 100.

Principal peaks in the range 10° ≤ 2θ ≤ 80°, in order of rising 2θ:
2θ (°)  I (rel.)
24.93  74
28.87  42
31.52  35
37.78  64
41.28  100
48.83  24
57.19  18
61.33  17
69.65  16
75.25  14

Crystal structure
```
Mn5Bi4Pd2
1.0
0.000 6.186 6.186
6.186 0.000 6.186
6.186 6.186 0.000
Mn Bi Pd
10 8 4
Direct
0.157 0.157 0.157 Mn
0.157 0.157 0.528 Mn
0.157 0.528 0.157 Mn
0.246 0.246 0.754 Mn
0.246 0.754 0.246 Mn
0.246 0.754 0.754 Mn
0.528 0.157 0.157 Mn
0.754 0.246 0.246 Mn
0.754 0.246 0.754 Mn
0.754 0.754 0.246 Mn
0.000 0.000 0.000 Bi
0.500 0.500 0.500 Bi
0.541 0.541 0.959 Bi
0.541 0.959 0.541 Bi
0.541 0.959 0.959 Bi
0.959 0.541 0.541 Bi
0.959 0.541 0.959 Bi
0.959 0.959 0.541 Bi
0.370 0.370 0.370 Pd
0.370 0.370 0.890 Pd
0.370 0.890 0.370 Pd
0.890 0.370 0.370 Pd
```

The following is a calculated powder diffraction line list of MnBi2Pt2. It was derived from a GGA-PBE-relaxed structure, using a wavelength of 1.5418 Å.
Intensities are scaled so that the largest is 100.

Principal peaks in the range 10° ≤ 2θ ≤ 80°, in order of rising 2θ:
2θ (°)  I (rel.)
17.68  14
25.11  9
35.18  100
40.20  21
42.12  16
54.92  9
57.73  14
59.63  14
72.49  13
75.50  13

Crystal structure
```
MnBi2Pt2
1.0
7.093 0.000 0.000
0.000 7.093 0.000
0.000 0.000 4.291
Mn Bi Pt
2 4 4
Direct
0.000 0.000 0.000 Mn
0.500 0.500 0.000 Mn
0.170 0.330 0.500 Bi
0.330 0.830 0.500 Bi
0.670 0.170 0.500 Bi
0.830 0.670 0.500 Bi
0.140 0.640 0.000 Pt
0.360 0.140 0.000 Pt
0.640 0.860 0.000 Pt
0.860 0.360 0.000 Pt
```

The following is a calculated powder diffraction line list of RbMnBi3. It was derived from a GGA-PBE-relaxed structure, using a wavelength of 1.5418 Å.
Intensities are scaled so that the largest is 100.

Principal peaks in the range 10° ≤ 2θ ≤ 80°, in order of rising 2θ:
2θ (°)  I (rel.)
16.52  20
28.82  100
33.40  71
37.48  11
47.95  52
56.91  47
59.69  18
70.16  9
77.55  20
79.96  24

Crystal structure
```
RbMnBi3
1.0
5.366 0.000 0.000
0.000 5.366 0.000
0.000 0.000 5.366
Rb Mn Bi
1 1 3
Direct
0.000 0.000 0.000 Rb
0.500 0.500 0.500 Mn
0.000 0.500 0.500 Bi
0.500 0.000 0.500 Bi
0.500 0.500 0.000 Bi
```